# Ca3Co3As4O16
Simulated X-ray diffraction stick pattern, λ = 1.5418 Å (Cu Kα). Input: a GGA+U-relaxed structure.
Peak positions follow from Bragg's law for the DFT cell and can differ from measured ones.

Principal peaks in the range 5° ≤ 2θ ≤ 70°, sorted by position:
hkl 1 0 -2, d 7.564, rel. 83
hkl 2 0 0, d 4.103, rel. 39
hkl 0 0 4, d 3.862, rel. 32
hkl 1 1 -3, d 3.809, rel. 37
hkl 2 1 -1, d 3.390, rel. 100
hkl 1 1 3, d 2.997, rel. 71
hkl 1 1 -5, d 2.865, rel. 58
hkl 3 1 -3, d 2.623, rel. 99
hkl 0 2 0, d 2.580, rel. 72
hkl 3 3 -3, d 1.498, rel. 35

Cell and atoms:
```
data_Ca3Co3As4O16
_chemical_formula_sum 'Ca6 Co6 As8 O32'
_cell_length_a 9.178
_cell_length_b 5.159
_cell_length_c 17.278
_cell_angle_alpha 90.00
_cell_angle_beta 116.62
_cell_angle_gamma 90.00
_symmetry_space_group_name_H-M 'P 1 21/c 1'
_symmetry_Int_Tables_number 14
loop_
_symmetry_equiv_pos_as_xyz
'x,y,z'
'-x,-y,-z'
'-x,y+1/2,-z+1/2'
'x,-y+1/2,z+1/2'
loop_
_atom_site_label
_atom_site_fract_x
_atom_site_fract_y
_atom_site_fract_z
_atom_site_occupancy
Ca1 0.000 0.000 0.000 1
Ca2 0.310 0.036 0.270 1
Co1 0.199 0.521 0.375 1
Co2 0.500 0.000 0.500 1
As1 0.037 0.512 0.155 1
As2 0.435 0.512 0.595 1
O1 0.026 0.652 0.641 1
O2 0.098 0.144 0.589 1
O3 0.148 0.593 0.852 1
O4 0.189 0.050 0.759 1
O5 0.254 0.558 0.506 1
O6 0.418 0.204 0.917 1
O7 0.433 0.617 0.688 1
O8 0.489 0.701 0.897 1
```